This entry pairs a crystal structure of HfI4 with its computed powder diffractogram. Radiation: λ = 1.5418 Å (Cu Kα). Structure: a cell relaxed with GGA-PBE.
Neutral-atom scattering factors, no anomalous dispersion.

Atomic structure:
a b c (Å): 13.744 13.744 13.744
angles (deg): 90.00 90.00 90.00
Positions (direct):
Hf 0.126 0.126 0.126
Hf 0.126 0.374 0.626
Hf 0.374 0.626 0.126
Hf 0.374 0.874 0.626
Hf 0.626 0.126 0.374
Hf 0.626 0.374 0.874
Hf 0.874 0.626 0.374
Hf 0.874 0.874 0.874
I 0.013 0.239 0.015
I 0.013 0.261 0.515
I 0.015 0.013 0.239
I 0.015 0.487 0.739
I 0.238 0.238 0.238
I 0.238 0.262 0.738
I 0.239 0.015 0.013
I 0.239 0.485 0.513
I 0.261 0.515 0.013
I 0.261 0.985 0.513
I 0.262 0.738 0.238
I 0.262 0.762 0.738
I 0.485 0.513 0.239
I 0.485 0.987 0.739
I 0.487 0.739 0.015
I 0.487 0.761 0.515
I 0.513 0.239 0.485
I 0.513 0.261 0.985
I 0.515 0.013 0.261
I 0.515 0.487 0.761
I 0.738 0.238 0.262
I 0.738 0.262 0.762
I 0.739 0.015 0.487
I 0.739 0.485 0.987
I 0.761 0.515 0.487
I 0.761 0.985 0.987
I 0.762 0.738 0.262
I 0.762 0.762 0.762
I 0.985 0.513 0.261
I 0.985 0.987 0.761
I 0.987 0.739 0.485
I 0.987 0.761 0.985

Peak list (8 most intense, 2θ from 10° to 80°, low angle first)
Position (°2θ)	d/Å	intensity
11.15	7.935	15.4
14.41	6.146	48.4
15.79	5.611	36.6
22.41	3.967	100.0
25.93	3.436	20.4
37.00	2.430	68.5
43.69	2.072	40.7
66.68	1.403	17.9

This entry pairs a crystal structure of HfIN with its computed powder diffractogram. Radiation: λ = 1.5418 Å (Cu Kα). Structure: a cell relaxed with GGA-PBE.
Neutral-atom scattering factors, no anomalous dispersion.

Atomic structure:
a b c (Å): 12.234 12.234 12.234
angles (deg): 17.44 17.44 17.44
Positions (direct):
Hf 0.202 0.202 0.202
Hf 0.798 0.798 0.798
I 0.404 0.404 0.404
I 0.596 0.596 0.596
N 0.143 0.143 0.143
N 0.857 0.857 0.857

Peak list (8 most intense, 2θ from 10° to 80°, low angle first)
Position (°2θ)	d/Å	intensity
28.21	3.163	14.4
30.45	2.936	100.0
37.33	2.409	19.5
37.46	2.401	52.7
49.11	1.855	29.4
58.62	1.575	14.7
58.89	1.568	15.5
63.30	1.469	36.3